Theoretical PXRD pattern of Ti8BP2 for a wavelength of 1.5418 Å, from DFT lattice parameters and positions (GGA-PBE).

Atomic structure:
```
data_Ti8BP2
_cell_length_a 14.6275
_cell_length_b 3.4378
_cell_length_c 6.6127
_cell_angle_alpha 90.00
_cell_angle_beta 94.95
_cell_angle_gamma 90.00
_space_group_name_H-M_alt 'C 1 2/m 1'
_space_group_IT_number 12
loop_
_space_group_symop_operation_xyz
'x,y,z'
'-x,-y,-z'
'-x,y,-z'
'x,-y,z'
'x+1/2,y+1/2,z'
'-x+1/2,-y+1/2,-z'
'-x+1/2,y+1/2,-z'
'x+1/2,-y+1/2,z'
loop_
_atom_site_label
_atom_site_fract_x
_atom_site_fract_y
_atom_site_fract_z
Ti1 0.0028 0.0000 0.2196
Ti2 0.0921 0.5000 0.5199
Ti3 0.1556 0.5000 0.0143
Ti4 0.2069 0.0000 0.3532
B1 0.0000 0.5000 0.0000
P1 0.1814 0.0000 0.7468
```

Principal peaks in the range 15° ≤ 2θ ≤ 90°, by angle:
index  2theta  intensity
3 1 1  35.39  203
1 1 -2  37.95  1000
4 0 2  38.38  538
1 1 2  38.74  146
5 1 0  40.58  559
5 1 1  43.83  235
0 2 0  53.30  267
4 2 2  67.57  171